# RbMn2Cu2O6
Theoretical PXRD pattern, λ = 1.5418 Å (Cu Kα). Input: a structure optimized by DFT (PBE+U).
Intensities are scaled so that the largest is 100.

Cell and atoms:
```
RbMn2Cu2O6
1.0
5.572 0.000 0.000
-2.690 5.387 0.000
-1.917 -1.996 5.557
Rb Mn Cu O
1 2 2 6
Cartesian
0.000 0.000 0.000
0.465 -0.865 3.367
0.500 4.256 2.191
-1.326 1.643 4.202
2.290 1.748 1.356
-1.151 0.181 3.071
0.250 3.745 0.405
-0.773 3.248 3.375
1.738 0.143 2.182
0.714 -0.354 5.153
2.115 3.209 2.486
```

Most intense lines, 2θ = 10–80°, by angle:
2θ = 17.5°, 5.070 Å, intensity 34.6
2θ = 19.4°, 4.583 Å, intensity 36.9
2θ = 22.6°, 3.932 Å, intensity 57.3
2θ = 29.4°, 3.038 Å, intensity 65.4
2θ = 29.7°, 3.003 Å, intensity 69.8
2θ = 30.0°, 2.974 Å, intensity 68.8
2θ = 30.4°, 2.944 Å, intensity 100.0
2θ = 31.0°, 2.882 Å, intensity 66.0
2θ = 32.4°, 2.759 Å, intensity 59.5
2θ = 34.0°, 2.638 Å, intensity 37.6
2θ = 36.0°, 2.492 Å, intensity 43.9
2θ = 36.9°, 2.434 Å, intensity 25.3